Theoretical powder diffractogram of Ac5Tl3 for Cu Ka, from the GGA-PBE geometry in Alexandria.

Peak list (10 most intense, 2θ from 15° to 90°, low angle first)
| 2θ/deg | I/Imax | hkl |
| --- | --- | --- |
| 23.67 | 19 | 0 0 2 |
| 25.92 | 16 | 1 0 2 |
| 27.75 | 30 | 2 1 0 |
| 29.94 | 76 | 1 1 2 |
| 30.24 | 100 | 2 1 1 |
| 31.56 | 32 | 3 0 0 |
| 44.06 | 16 | 2 2 2 |
| 45.92 | 33 | 2 1 3 |
| 49.24 | 15 | 4 0 2 |
| 59.67 | 19 | 5 0 2 |

abc: 9.8200 9.8200 7.5167
angles: 90.00 90.00 120.00
Element x y z (fractional)
Ac  0.0000  0.2402  0.2500
Ac  0.0000  0.7598  0.7500
Ac  0.2402  0.0000  0.2500
Ac  0.2402  0.2402  0.7500
Ac  0.3333  0.6667  0.0000
Ac  0.3333  0.6667  0.5000
Ac  0.6667  0.3333  0.0000
Ac  0.6667  0.3333  0.5000
Ac  0.7598  0.0000  0.7500
Ac  0.7598  0.7598  0.2500
Tl  0.0000  0.4034  0.7500
Tl  0.0000  0.5966  0.2500
Tl  0.4034  0.0000  0.7500
Tl  0.4034  0.4034  0.2500
Tl  0.5966  0.0000  0.2500
Tl  0.5966  0.5966  0.7500